For LiCu3Te4Pt, a crystal structure in OQMD, relaxed with PBE gives the theoretical powder X-ray diffraction pattern in this record (Cu Kα (λ = 1.5418 Å)).

Principal peaks in the range 15 to 90 degrees two-theta, in order of falling intensity:
hkl	d_spacing	2θ (°)	intensity
2 2 0	2.132	42.4	100
1 1 1	3.481	25.6	79
3 1 1	1.818	50.2	37
2 1 0	2.697	33.2	34
4 2 2	1.231	77.6	33
3 0 0	2.010	45.1	17
4 0 0	1.507	61.5	16
3 3 1	1.383	67.7	15
1 1 0	4.264	20.8	12
5 1 1	1.160	83.3	11

Cell and atoms:
```
LiCu3Te4Pt
1.0
6.030 0.000 0.000
0.000 6.030 0.000
0.000 0.000 6.030
Li Cu Te Pt
1 3 4 1
Cartesian
0.000 0.000 0.000
0.000 3.015 3.015
3.015 0.000 3.015
3.015 3.015 0.000
1.492 1.492 1.492
1.492 4.537 4.537
4.537 1.492 4.537
4.537 4.537 1.492
3.015 3.015 3.015
```